# 1
Computed powder X-ray diffraction pattern
Compound: K3Ga3As4
Radiation: Cu Kα X-rays
Structure: a DFT-relaxed cell (PBE, the Materials Project)

Atomic structure:
Unit cell a=6.728 b=15.192 c=10.832 alpha=90.00 beta=90.00 gamma=90.00
Space group Pnna (No. 52)
Unique sites:
K1 0.060 0.095 0.121 x8
K2 0.250 0.000 0.579 x4
Ga1 0.098 0.717 0.111 x8
Ga2 0.192 0.750 0.750 x4
As1 0.040 0.137 0.806 x8
As2 0.041 0.176 0.405 x8

Principal peaks in the range 15 to 90 degrees two-theta, sorted by position:
- 3.364 Å, 26.5°, I 62.5
- 3.241 Å, 27.5°, I 50.7
- 2.935 Å, 30.5°, I 83.0
- 2.925 Å, 30.6°, I 100.0
- 2.802 Å, 31.9°, I 56.2
- 2.710 Å, 33.1°, I 51.7
- 2.694 Å, 33.3°, I 55.9
- 2.518 Å, 35.7°, I 52.7
- 2.197 Å, 41.1°, I 64.7
- 1.732 Å, 52.9°, I 46.6



# 2
Computed powder X-ray diffraction pattern
Compound: AuN
Radiation: Cu Kα X-rays
Structure: a DFT-relaxed cell (PBE, the Materials Project)

Atomic structure:
Unit cell a=4.670 b=4.670 c=4.670 alpha=90.00 beta=90.00 gamma=90.00
Space group Fm-3m (No. 225)
Unique sites:
Au1 0.000 0.000 0.000 x4
N1 0.000 0.000 0.500 x4

Principal peaks in the range 15 to 90 degrees two-theta, sorted by position:
- 2.696 Å, 33.2°, I 100.0
- 2.335 Å, 38.6°, I 66.3
- 1.651 Å, 55.7°, I 45.2
- 1.408 Å, 66.4°, I 43.8
- 1.348 Å, 69.8°, I 15.4
- 1.167 Å, 82.7°, I 7.5



# 3
Computed powder X-ray diffraction pattern
Compound: LiLuF2
Radiation: Cu Kα X-rays
Structure: a DFT-relaxed cell (PBE, the Materials Project)

Atomic structure:
Unit cell a=6.374 b=6.374 c=12.498 alpha=90.00 beta=90.00 gamma=90.00
Space group I4_1/amd (No. 141, origin choice 2)
Unique sites:
Li1 0.000 0.000 0.000 x8
Lu1 0.000 0.000 0.500 x8
F1 0.000 0.020 0.316 x16

Principal peaks in the range 15 to 90 degrees two-theta, sorted by position:
- 5.678 Å, 15.6°, I 100.0
- 3.487 Å, 25.5°, I 14.8
- 3.124 Å, 28.6°, I 20.3
- 2.839 Å, 31.5°, I 47.1
- 2.779 Å, 32.2°, I 31.2
- 2.254 Å, 40.0°, I 25.2
- 1.879 Å, 48.4°, I 12.7
- 1.828 Å, 49.9°, I 17.8
- 1.744 Å, 52.5°, I 21.0
- 1.390 Å, 67.4°, I 11.9



# 4
Computed powder X-ray diffraction pattern
Compound: CrCoSi
Radiation: Cu Kα X-rays
Structure: a DFT-relaxed cell (PBE, the Materials Project)

Atomic structure:
Unit cell a=5.756 b=3.601 c=6.717 alpha=90.00 beta=90.00 gamma=90.00
Space group Pnma (No. 62)
Unique sites:
Cr1 0.026 0.250 0.178 x4
Co1 0.146 0.250 0.558 x4
Si1 0.239 0.750 0.375 x4

Principal peaks in the range 15 to 90 degrees two-theta, sorted by position:
- 2.779 Å, 32.2°, I 18.9
- 2.259 Å, 39.9°, I 100.0
- 2.248 Å, 40.1°, I 56.9
- 2.132 Å, 42.4°, I 89.7
- 2.087 Å, 43.4°, I 37.9
- 1.901 Å, 47.8°, I 46.3
- 1.845 Å, 49.4°, I 33.5
- 1.805 Å, 50.6°, I 27.1
- 1.800 Å, 50.7°, I 52.4
- 1.192 Å, 80.6°, I 23.9



# 5
Computed powder X-ray diffraction pattern
Compound: BaO
Radiation: Cu Kα X-rays
Structure: a DFT-relaxed cell (PBE, the Materials Project)

Atomic structure:
Unit cell a=3.8494 b=3.8494 c=6.6950 alpha=90.00 beta=90.00 gamma=120.00
Space group P6_3/mmc (No. 194)
Unique sites:
Ba1 0.3333 0.6667 0.2500 x2
O1 0.0000 0.0000 0.0000 x2

Principal peaks in the range 15 to 90 degrees two-theta, sorted by position:
- 3.348 Å, 26.6°, I 22.5
- 3.334 Å, 26.7°, I 11.9
- 2.984 Å, 29.9°, I 100.0
- 2.362 Å, 38.1°, I 27.0
- 1.925 Å, 47.2°, I 23.1
- 1.854 Å, 49.1°, I 24.8
- 1.668 Å, 55.0°, I 20.7
- 1.617 Å, 56.9°, I 16.0
- 1.263 Å, 75.2°, I 11.3
- 1.238 Å, 77.0°, I 13.4



# 6
Computed powder X-ray diffraction pattern
Compound: MgTe2Mo2W2Se4S2
Radiation: Cu Kα X-rays
Structure: a DFT-relaxed cell (PBE, the Materials Project)

Atomic structure:
Unit cell a=3.3369 b=3.3369 c=46.7386 alpha=90.00 beta=90.00 gamma=120.00
Space group P3m1 (No. 156)
Unique sites:
Mg1 0.0000 0.0000 0.0000 x1
Te1 0.3333 0.6667 0.0658 x1
Te2 0.3333 0.6667 0.1479 x1
Mo1 0.3333 0.6667 0.5362 x1
Mo2 0.6667 0.3333 0.7241 x1
W1 0.3333 0.6667 0.9027 x1
W2 0.6667 0.3333 0.1070 x1
Se1 0.3333 0.6667 0.6884 x1
Se2 0.3333 0.6667 0.7598 x1
Se3 0.6667 0.3333 0.5005 x1
Se4 0.6667 0.3333 0.5719 x1
S1 0.6667 0.3333 0.8702 x1
S2 0.6667 0.3333 0.9355 x1

Principal peaks in the range 15 to 90 degrees two-theta, sorted by position:
- 2.889 Å, 31.0°, I 55.8
- 2.761 Å, 32.4°, I 33.8
- 2.709 Å, 33.1°, I 18.2
- 2.590 Å, 34.6°, I 72.1
- 2.458 Å, 36.6°, I 17.3
- 2.390 Å, 37.6°, I 34.0
- 2.252 Å, 40.0°, I 100.0
- 1.668 Å, 55.0°, I 45.0
- 1.643 Å, 56.0°, I 23.3
- 1.341 Å, 70.2°, I 18.7



# 7
Computed powder X-ray diffraction pattern
Compound: BaCoN2
Radiation: Cu Kα X-rays
Structure: a DFT-relaxed cell (PBE, the Materials Project)

Atomic structure:
Unit cell a=5.789 b=11.474 c=7.692 alpha=90.00 beta=90.00 gamma=90.00
Space group Cmce (No. 64)
Unique sites:
Ba1 0.000 0.159 0.060 x8
Co1 0.000 0.053 0.634 x8
N1 0.000 0.111 0.412 x8
N2 0.250 0.096 0.750 x8

Principal peaks in the range 15 to 90 degrees two-theta, sorted by position:
- 3.846 Å, 23.1°, I 17.0
- 3.086 Å, 28.9°, I 45.7
- 2.947 Å, 30.3°, I 100.0
- 2.895 Å, 30.9°, I 47.5
- 2.688 Å, 33.3°, I 16.0
- 2.341 Å, 38.5°, I 17.1
- 2.297 Å, 39.2°, I 21.5
- 1.802 Å, 50.7°, I 20.0
- 1.681 Å, 54.6°, I 18.9
- 1.595 Å, 57.8°, I 18.0



# 8
Computed powder X-ray diffraction pattern
Compound: SrMg6Ni
Radiation: Cu Kα X-rays
Structure: a DFT-relaxed cell (PBE, the Materials Project)

Atomic structure:
Unit cell a=4.966 b=6.035 c=13.180 alpha=90.00 beta=90.00 gamma=90.00
Space group Amm2 (No. 38)
Unique sites:
Sr1 0.000 0.000 0.000 x2
Mg1 0.000 0.247 0.745 x4
Mg2 0.500 0.000 0.168 x2
Mg3 0.500 0.000 0.597 x2
Mg4 0.500 0.237 0.380 x4
Ni1 0.000 0.000 0.405 x2

Principal peaks in the range 15 to 90 degrees two-theta, sorted by position:
- 4.966 Å, 17.9°, I 29.8
- 3.966 Å, 22.4°, I 22.1
- 3.552 Å, 25.1°, I 23.9
- 2.889 Å, 31.0°, I 66.5
- 2.745 Å, 32.6°, I 76.0
- 2.483 Å, 36.2°, I 47.3
- 2.416 Å, 37.2°, I 35.5
- 2.401 Å, 37.4°, I 100.0
- 1.841 Å, 49.5°, I 20.2
- 1.731 Å, 52.9°, I 24.9



# 9
Computed powder X-ray diffraction pattern
Compound: Cs4O3
Radiation: Cu Kα X-rays
Structure: a DFT-relaxed cell (PBE, the Materials Project)

Atomic structure:
Unit cell a=9.317 b=9.317 c=9.317 alpha=90.00 beta=90.00 gamma=90.00
Space group I-43d (No. 220)
Unique sites:
Cs1 0.049 0.451 0.549 x16
O1 0.000 0.250 0.875 x12

Principal peaks in the range 15 to 90 degrees two-theta, sorted by position:
- 3.804 Å, 23.4°, I 38.1
- 3.294 Å, 27.1°, I 97.6
- 2.946 Å, 30.3°, I 100.0
- 2.490 Å, 36.1°, I 44.4
- 1.986 Å, 45.7°, I 25.2
- 1.902 Å, 47.8°, I 16.5
- 1.827 Å, 49.9°, I 59.6
- 1.701 Å, 53.9°, I 30.7
- 1.438 Å, 64.9°, I 17.7
- 1.268 Å, 74.9°, I 20.7



# 10
Computed powder X-ray diffraction pattern
Compound: ZrSiOs
Radiation: Cu Kα X-rays
Structure: a DFT-relaxed cell (PBE, the Materials Project)

Atomic structure:
Unit cell a=6.440 b=4.080 c=7.507 alpha=90.00 beta=90.00 gamma=90.00
Space group Pnma (No. 62)
Unique sites:
Zr1 0.015 0.250 0.184 x4
Si1 0.212 0.750 0.378 x4
Os1 0.163 0.250 0.559 x4

Principal peaks in the range 15 to 90 degrees two-theta, sorted by position:
- 4.888 Å, 18.1°, I 31.7
- 3.132 Å, 28.5°, I 100.0
- 2.539 Å, 35.4°, I 72.9
- 2.528 Å, 35.5°, I 52.8
- 2.396 Å, 37.5°, I 54.7
- 2.133 Å, 42.4°, I 53.4
- 2.064 Å, 43.9°, I 50.5
- 2.040 Å, 44.4°, I 46.4
- 1.451 Å, 64.2°, I 32.7
- 1.335 Å, 70.5°, I 37.6